[1]
For ErBiPd, a PBE-relaxed structure gives the theoretical PXRD pattern in this record (Cu Kα (λ = 1.5418 Å)).

Atomic structure:
Cell: 4.734 4.734 4.734 Å, 60.00 60.00 60.00°
Positions (direct):
Er 0.000 0.000 0.000
Bi 0.500 0.500 0.500
Pd 0.250 0.250 0.250

Principal peaks in the range 10 to 80 degrees two-theta, low angle first:
two_theta, I/Imax
23.01, 143
26.63, 375
38.02, 1000
44.91, 73
47.02, 113
54.86, 175
60.26, 30
62.00, 152
68.69, 358
73.51, 23

=====

[2]
For Er5BiPt2, a PBE-relaxed structure gives the theoretical PXRD pattern in this record (Cu Kα (λ = 1.5418 Å)).

Atomic structure:
Cell: 8.750 8.750 8.750 Å, 127.18 127.18 77.96°
Positions (direct):
Er 0.000 0.000 0.000
Er 0.020 0.520 0.811
Er 0.209 0.020 0.500
Er 0.291 0.791 0.811
Er 0.480 0.291 0.500
Er 0.500 0.500 0.000
Er 0.520 0.709 0.500
Er 0.709 0.209 0.189
Er 0.791 0.980 0.500
Er 0.980 0.480 0.189
Bi 0.250 0.250 0.000
Bi 0.750 0.750 0.000
Pt 0.139 0.361 0.500
Pt 0.361 0.861 0.222
Pt 0.639 0.139 0.778
Pt 0.861 0.639 0.500

Principal peaks in the range 10 to 80 degrees two-theta, low angle first:
two_theta, I/Imax
13.02, 137
30.91, 190
32.42, 1000
32.54, 111
35.04, 237
36.50, 643
42.17, 291
52.55, 187
66.87, 200
68.10, 239